Record 1
Structure and simulated X-ray diffraction stick pattern of HIrC2N (a PBE-relaxed structure; Cu Kα (λ = 1.5418 Å)).
Neutral-atom scattering factors, no anomalous dispersion.

Crystal structure
```
data_HIrC2N
_cell_length_a 3.9153
_cell_length_b 3.9153
_cell_length_c 2.5617
_cell_angle_alpha 90.00
_cell_angle_beta 90.00
_cell_angle_gamma 90.00
_symmetry_space_group_name_H-M 'P 4/m m m'
_symmetry_Int_Tables_number 123
_symmetry_space_group_name_Hall '-P 4 2'
loop_
_atom_site_label
_atom_site_type_symbol
_atom_site_fract_x
_atom_site_fract_y
_atom_site_fract_z
_atom_site_occupancy
H1 H 0.0000 0.0000 0.0000 1
Ir1 Ir 0.5000 0.5000 0.5000 1
C1 C 0.0000 0.5000 0.0000 1
N1 N 0.0000 0.0000 0.5000 1
```

Main lines, in order of rising 2θ (10 to 90 degrees two-theta):
- (1 0 0), 3.915 Å, I = 100.0
- (1 1 0), 2.769 Å, I = 46.8
- (0 0 1), 2.562 Å, I = 18.4
- (1 0 1), 2.144 Å, I = 43.4
- (2 0 0), 1.958 Å, I = 25.4
- (1 1 1), 1.880 Å, I = 43.8
- (2 1 0), 1.751 Å, I = 23.2
- (2 0 1), 1.555 Å, I = 16.8
- (2 1 1), 1.446 Å, I = 25.6
- (3 1 1), 1.115 Å, I = 16.1


Record 2
Structure and simulated X-ray diffraction stick pattern of K2MgH8C2O10 (a PBE-relaxed structure; Cu Kα (λ = 1.5418 Å)).
Neutral-atom scattering factors, no anomalous dispersion.

Crystal structure
```
data_K2MgH8C2O10
_cell_length_a 6.9864
_cell_length_b 6.3274
_cell_length_c 12.3277
_cell_angle_alpha 90.00
_cell_angle_beta 114.73
_cell_angle_gamma 90.00
_symmetry_space_group_name_H-M 'P 1 21/c 1'
_symmetry_Int_Tables_number 14
loop_
_symmetry_equiv_pos_as_xyz
'x,y,z'
'-x,-y,-z'
'-x,y+1/2,-z+1/2'
'x,-y+1/2,z+1/2'
loop_
_atom_site_label
_atom_site_type_symbol
_atom_site_fract_x
_atom_site_fract_y
_atom_site_fract_z
_atom_site_occupancy
K1 K 0.2325 0.1570 0.3171 1
Mg1 Mg 0.0000 0.0000 0.0000 1
H1 H 0.2019 0.6621 0.3683 1
H2 H 0.2129 0.7018 0.9853 1
H3 H 0.2998 0.1705 0.5823 1
H4 H 0.4266 0.1149 0.1132 1
C1 C 0.2584 0.6564 0.1829 1
O1 O 0.1161 0.7157 0.4116 1
O2 O 0.1242 0.6893 0.6520 1
O3 O 0.2876 0.1760 0.0588 1
O4 O 0.3174 0.5693 0.2875 1
O5 O 0.3351 0.5859 0.1094 1
```

Main lines, in order of rising 2θ (10 to 90 degrees two-theta):
- (1 0 0), 6.346 Å, I = 30.7
- (0 1 2), 4.193 Å, I = 29.0
- (2 0 0), 3.172 Å, I = 81.7
- (1 0 -4), 3.081 Å, I = 28.3
- (0 2 1), 3.045 Å, I = 100.0
- (2 1 -1), 3.030 Å, I = 90.7
- (0 1 4), 2.560 Å, I = 71.8
- (2 1 -4), 2.518 Å, I = 58.5
- (1 2 -3), 2.491 Å, I = 27.6
- (2 2 1), 2.082 Å, I = 51.4


Record 3
Structure and simulated X-ray diffraction stick pattern of KHCN2 (a PBE-relaxed structure; Cu Kα (λ = 1.5418 Å)).
Neutral-atom scattering factors, no anomalous dispersion.

Crystal structure
```
data_KHCN2
_cell_length_a 7.1742
_cell_length_b 9.1526
_cell_length_c 9.1583
_cell_angle_alpha 90.00
_cell_angle_beta 90.00
_cell_angle_gamma 90.00
_symmetry_space_group_name_H-M 'P 21 21 21'
_symmetry_Int_Tables_number 19
loop_
_symmetry_equiv_pos_as_xyz
'x,y,z'
'-x+1/2,-y,z+1/2'
'x+1/2,-y+1/2,-z'
'-x,y+1/2,-z+1/2'
loop_
_atom_site_label
_atom_site_type_symbol
_atom_site_fract_x
_atom_site_fract_y
_atom_site_fract_z
_atom_site_occupancy
K1 K 0.0114 0.2435 0.3577 1
K2 K 0.2490 0.3953 0.9902 1
H1 H 0.0782 0.5542 0.7623 1
H2 H 0.1673 0.9634 0.3232 1
C1 C 0.0168 0.2497 0.6941 1
C2 C 0.2323 0.0543 0.0208 1
N1 N 0.1167 0.6574 0.7964 1
N2 N 0.1176 0.0472 0.1164 1
N3 N 0.1306 0.3451 0.6783 1
N4 N 0.1354 0.9306 0.4282 1
```

Main lines, in order of rising 2θ (10 to 90 degrees two-theta):
- (0 2 2), 3.237 Å, I = 18.8
- (2 1 1), 3.138 Å, I = 63.5
- (0 3 1), 2.895 Å, I = 100.0
- (2 2 0), 2.823 Å, I = 51.4
- (1 0 3), 2.808 Å, I = 26.4
- (1 2 3), 2.394 Å, I = 33.2
- (3 1 2), 2.065 Å, I = 29.4
- (2 4 0), 1.930 Å, I = 20.8
- (2 3 3), 1.849 Å, I = 21.6
- (0 6 0), 1.525 Å, I = 11.3


Record 4
Structure and simulated X-ray diffraction stick pattern of KHC3N6 (a PBE-relaxed structure; Cu Kα (λ = 1.5418 Å)).
Neutral-atom scattering factors, no anomalous dispersion.

Crystal structure
```
data_KHC3N6
_cell_length_a 4.1099
_cell_length_b 9.6048
_cell_length_c 9.7878
_cell_angle_alpha 109.98
_cell_angle_beta 91.83
_cell_angle_gamma 90.33
_symmetry_space_group_name_H-M 'P -1'
_symmetry_Int_Tables_number 2
loop_
_symmetry_equiv_pos_as_xyz
'x,y,z'
'-x,-y,-z'
loop_
_atom_site_label
_atom_site_type_symbol
_atom_site_fract_x
_atom_site_fract_y
_atom_site_fract_z
_atom_site_occupancy
K1 K 0.2504 0.0888 0.3435 1
H1 H 0.2337 0.5941 0.1218 1
C1 C 0.2294 0.7120 0.3306 1
C2 C 0.3201 0.6822 0.8450 1
C3 C 0.3385 0.1485 0.9788 1
N1 N 0.1706 0.6577 0.7148 1
N2 N 0.2231 0.5895 0.2261 1
N3 N 0.2292 0.0831 0.8600 1
N4 N 0.2355 0.8218 0.4373 1
N5 N 0.2455 0.6079 0.9321 1
N6 N 0.4416 0.2051 0.1131 1
```

Main lines, in order of rising 2θ (10 to 90 degrees two-theta):
- (0 1 1), 5.559 Å, I = 54.5
- (0 2 -2), 3.970 Å, I = 43.9
- (1 0 1), 3.701 Å, I = 30.0
- (1 1 -2), 3.170 Å, I = 35.0
- (1 0 -2), 3.119 Å, I = 61.8
- (1 -2 0), 3.065 Å, I = 100.0
- (0 3 -2), 3.038 Å, I = 80.7
- (1 2 0), 3.010 Å, I = 77.8
- (1 2 -3), 2.488 Å, I = 18.6
- (2 0 0), 2.053 Å, I = 35.4


Record 5
Structure and simulated X-ray diffraction stick pattern of K5HC2N4 (a PBE-relaxed structure; Cu Kα (λ = 1.5418 Å)).
Neutral-atom scattering factors, no anomalous dispersion.

Crystal structure
```
data_K5HC2N4
_cell_length_a 9.1566
_cell_length_b 9.1566
_cell_length_c 11.1724
_cell_angle_alpha 90.00
_cell_angle_beta 90.00
_cell_angle_gamma 90.00
_symmetry_space_group_name_H-M 'P 4/n c c'
_symmetry_Int_Tables_number 130
loop_
_symmetry_equiv_pos_as_xyz
'x,y,z'
'-x,-y,-z'
'-y+1/2,x,z'
'y+1/2,-x,-z'
'-x+1/2,-y+1/2,z'
'x+1/2,y+1/2,-z'
'y,-x+1/2,z'
'-y,x+1/2,-z'
'x+1/2,-y,-z+1/2'
'-x+1/2,y,z+1/2'
'-y,-x,-z+1/2'
'y,x,z+1/2'
'-x,y+1/2,-z+1/2'
'x,-y+1/2,z+1/2'
'y+1/2,x+1/2,-z+1/2'
'-y+1/2,-x+1/2,z+1/2'
loop_
_atom_site_label
_atom_site_type_symbol
_atom_site_fract_x
_atom_site_fract_y
_atom_site_fract_z
_atom_site_occupancy
K1 K 0.0444 0.6472 0.1000 1
K2 K 0.2500 0.2500 0.1515 1
H1 H 0.2500 0.2500 0.4031 1
C1 C 0.1021 0.6021 0.7500 1
N1 N 0.0566 0.6484 0.8481 1
```

Main lines, in order of rising 2θ (10 to 90 degrees two-theta):
- (2 1 2), 3.303 Å, I = 83.0
- (3 1 0), 2.896 Å, I = 88.7
- (3 1 1), 2.803 Å, I = 100.0
- (0 0 4), 2.793 Å, I = 38.5
- (2 1 3), 2.755 Å, I = 90.6
- (3 1 3), 2.286 Å, I = 19.3
- (4 2 0), 2.047 Å, I = 28.5
- (4 2 1), 2.012 Å, I = 48.9
- (3 1 5), 1.769 Å, I = 21.1
- (5 0 2), 1.740 Å, I = 37.9


Record 6
Structure and simulated X-ray diffraction stick pattern of KPH6C2N4O4 (a PBE-relaxed structure; Cu Kα (λ = 1.5418 Å)).
Neutral-atom scattering factors, no anomalous dispersion.

Crystal structure
```
data_KPH6C2N4O4
_cell_length_a 10.4909
_cell_length_b 12.7596
_cell_length_c 11.4109
_cell_angle_alpha 90.00
_cell_angle_beta 90.00
_cell_angle_gamma 90.00
_symmetry_space_group_name_H-M 'F d d 2'
_symmetry_Int_Tables_number 43
_symmetry_space_group_name_Hall 'F 2 -2d'
loop_
_atom_site_label
_atom_site_type_symbol
_atom_site_fract_x
_atom_site_fract_y
_atom_site_fract_z
_atom_site_occupancy
K1 K 0.0000 0.0000 0.0000 1
P1 P 0.0000 0.0000 0.3217 1
H1 H 0.0318 0.2960 0.8867 1
H2 H 0.0699 0.2936 0.6853 1
H3 H 0.1102 0.4812 0.2302 1
C1 C 0.0811 0.1380 0.7140 1
N1 N 0.1012 0.2997 0.9489 1
N2 N 0.1224 0.2288 0.6609 1
O1 O 0.0188 0.3606 0.2770 1
O2 O 0.0307 0.0999 0.2568 1
```

Main lines, in order of rising 2θ (10 to 90 degrees two-theta):
- (2 2 0), 4.052 Å, I = 63.2
- (2 0 2), 3.861 Å, I = 57.8
- (1 3 1), 3.726 Å, I = 52.6
- (1 1 3), 3.443 Å, I = 100.0
- (2 2 2), 3.303 Å, I = 38.7
- (3 1 1), 3.234 Å, I = 47.8
- (0 0 4), 2.853 Å, I = 30.5
- (1 3 3), 2.737 Å, I = 43.1
- (4 0 0), 2.627 Å, I = 35.6
- (2 4 2), 2.459 Å, I = 60.4


Record 7
Structure and simulated X-ray diffraction stick pattern of KPH5C2S2N3O3 (a PBE-relaxed structure; Cu Kα (λ = 1.5418 Å)).
Neutral-atom scattering factors, no anomalous dispersion.

Crystal structure
```
data_KPH5C2S2N3O3
_cell_length_a 6.6729
_cell_length_b 7.1489
_cell_length_c 10.7027
_cell_angle_alpha 88.53
_cell_angle_beta 80.22
_cell_angle_gamma 83.88
_symmetry_space_group_name_H-M 'P -1'
_symmetry_Int_Tables_number 2
loop_
_symmetry_equiv_pos_as_xyz
'x,y,z'
'-x,-y,-z'
loop_
_atom_site_label
_atom_site_type_symbol
_atom_site_fract_x
_atom_site_fract_y
_atom_site_fract_z
_atom_site_occupancy
K1 K 0.1817 0.3348 0.2047 1
P1 P 0.3975 0.2163 0.7673 1
H1 H 0.0791 0.1429 0.4869 1
H2 H 0.3269 0.8984 0.7863 1
H3 H 0.3349 0.6072 0.8917 1
H4 H 0.3878 0.7616 0.9801 1
H5 H 0.4784 0.5774 0.4003 1
C1 C 0.1871 0.0037 0.6376 1
C2 C 0.3031 0.2954 0.5311 1
S1 S 0.1751 0.3556 0.8886 1
S2 S 0.3289 0.8314 0.1855 1
N1 N 0.1767 0.1521 0.5521 1
N2 N 0.3124 0.0135 0.7246 1
N3 N 0.4213 0.3196 0.6199 1
O1 O 0.0872 0.8668 0.6307 1
O2 O 0.3064 0.3944 0.4326 1
O3 O 0.4052 0.7234 0.8899 1
```

Main lines, in order of rising 2θ (10 to 90 degrees two-theta):
- (0 1 -1), 5.873 Å, I = 45.6
- (0 0 2), 5.273 Å, I = 37.4
- (1 1 0), 5.083 Å, I = 51.0
- (1 -1 0), 4.582 Å, I = 35.1
- (-1 1 1), 4.039 Å, I = 100.0
- (0 2 0), 3.554 Å, I = 30.0
- (0 0 3), 3.516 Å, I = 26.9
- (-1 1 2), 3.280 Å, I = 35.9
- (1 2 0), 3.269 Å, I = 78.7
- (2 0 3), 2.625 Å, I = 30.1


Record 8
Structure and simulated X-ray diffraction stick pattern of K2H2C2S2N2O (a PBE-relaxed structure; Cu Kα (λ = 1.5418 Å)).
Neutral-atom scattering factors, no anomalous dispersion.

Crystal structure
```
data_K2H2C2S2N2O
_cell_length_a 10.6294
_cell_length_b 8.1032
_cell_length_c 9.7875
_cell_angle_alpha 90.00
_cell_angle_beta 90.00
_cell_angle_gamma 90.00
_symmetry_space_group_name_H-M 'P n m a'
_symmetry_Int_Tables_number 62
loop_
_symmetry_equiv_pos_as_xyz
'x,y,z'
'-x,-y,-z'
'-x+1/2,-y,z+1/2'
'x+1/2,y,-z+1/2'
'x+1/2,-y+1/2,-z+1/2'
'-x+1/2,y+1/2,z+1/2'
'-x,y+1/2,-z'
'x,-y+1/2,z'
loop_
_atom_site_label
_atom_site_type_symbol
_atom_site_fract_x
_atom_site_fract_y
_atom_site_fract_z
_atom_site_occupancy
K1 K 0.1724 0.0020 0.2319 1
H1 H 0.0043 0.2500 0.9754 1
H2 H 0.0468 0.2500 0.8196 1
C1 C 0.0625 0.7500 0.6190 1
C2 C 0.0932 0.2500 0.5499 1
S1 S 0.0878 0.7500 0.7927 1
S2 S 0.1870 0.7500 0.5058 1
N1 N 0.0597 0.2500 0.4227 1
N2 N 0.1390 0.2500 0.6607 1
O1 O 0.0272 0.7500 0.1186 1
```

Main lines, in order of rising 2θ (10 to 90 degrees two-theta):
- (0 0 2), 4.894 Å, I = 25.4
- (2 1 0), 4.445 Å, I = 18.9
- (0 2 0), 4.051 Å, I = 19.4
- (2 2 0), 3.222 Å, I = 28.6
- (0 2 2), 3.120 Å, I = 52.3
- (2 2 1), 3.061 Å, I = 100.0
- (2 2 2), 2.691 Å, I = 26.3
- (4 0 1), 2.565 Å, I = 21.2
- (2 2 3), 2.292 Å, I = 27.5
- (0 4 0), 2.026 Å, I = 25.4


> What is the formula in the eighth record?

K2H2C2S2N2O